# TbMgScNi
Computed XRD peak list, Cu Kα, 1.54184 Å. Input: a crystal structure in Alexandria, relaxed with GGA-PBE.
Kinematic intensities with the Lorentz-polarization factor, no thermal factor.

Structural model:
abc: 3.3436 3.3436 7.7194
angles: 90.00 90.00 90.00
Space group P4mm (No. 99)
One atom of each set of equivalent atoms:
Tb 0.0000 0.0000 0.0000
Mg 0.5000 0.5000 0.3167
Sc 0.0000 0.0000 0.5960
Ni 0.5000 0.5000 0.7688

The 12 most intense peaks (2θ = 10–80°), by angle:
| hkl | 2θ (°) | Rel. int. |
| --- | --- | --- |
| 0 0 1 | 11.46 | 92 |
| 1 0 0 | 26.66 | 18 |
| 1 0 1 | 29.10 | 37 |
| 1 0 2 | 35.52 | 100 |
| 1 1 0 | 38.06 | 50 |
| 1 1 1 | 39.88 | 19 |
| 1 0 3 | 44.43 | 28 |
| 2 0 0 | 54.92 | 19 |
| 1 1 4 | 62.08 | 14 |
| 1 0 5 | 66.73 | 15 |
| 2 1 2 | 67.13 | 30 |
| 1 1 5 | 73.21 | 21 |